Computed XRD peak list
Compound: TmMg3
Radiation: Cu Kα (weighted mean of Kα1 and Kα2)
Structure: a structure optimized by DFT (PBE)

The 8 most intense peaks (15° ≤ 2θ ≤ 90°), low angle first:
Position (°2θ)  d/Å  Rel. int.
17.85  4.969  79
21.99  4.042  24
25.35  3.514  35
28.47  3.136  52
33.80  2.652  100
36.15  2.485  42
46.64  1.947  28
63.52  1.465  32

Structure:
```
TmMg3
1.0
4.969 0.000 0.000
0.000 4.969 0.000
0.000 0.000 4.042
Tm Mg
1 3
Direct
0.000 0.000 0.000
0.000 0.500 0.500
0.500 0.000 0.500
0.500 0.500 0.000
```

Computed XRD peak list
Compound: LiAlPHO5
Radiation: Cu Kα (weighted mean of Kα1 and Kα2)
Structure: a structure optimized by DFT (PBE)

The 8 most intense peaks (15° ≤ 2θ ≤ 90°), low angle first:
Position (°2θ)  d/Å  Rel. int.
18.66  4.755  29
18.83  4.713  60
26.41  3.374  45
26.88  3.316  42
27.42  3.253  100
27.80  3.209  89
29.80  2.999  81
37.01  2.429  34

Structure:
```
LiAlPHO5
1.0
5.093 0.000 0.000
-0.724 5.212 0.000
-2.342 -2.395 6.275
Li Al P H O
2 2 2 2 10
Direct
0.250 0.106 0.187
0.750 0.894 0.813
0.000 0.500 0.000
0.000 0.500 0.500
0.327 0.143 0.765
0.673 0.857 0.235
0.338 0.571 0.347
0.662 0.429 0.653
0.125 0.176 0.890
0.136 0.458 0.274
0.264 0.293 0.604
0.303 0.834 0.659
0.355 0.740 0.077
0.645 0.260 0.923
0.697 0.166 0.341
0.736 0.707 0.396
0.864 0.542 0.726
0.875 0.824 0.110
```